This entry pairs a crystal structure of Tm2H6Pd with its computed powder XRD pattern. Radiation: CuKα. Structure: a DFT-relaxed cell (GGA-PBE, OQMD).
Lines closer than 0.1° are merged.

The 9 most intense peaks (2θ from 5° to 70°), low angle first:
22.25 deg, rel. 15
25.75 deg, rel. 32
36.74 deg, rel. 100
43.37 deg, rel. 8
45.40 deg, rel. 10
52.93 deg, rel. 18
58.11 deg, rel. 3
59.77 deg, rel. 13
66.16 deg, rel. 36

a = 4.8928 Å, b = 4.8928 Å, c = 4.8928 Å
α = 60.00°, β = 60.00°, γ = 60.00°
Positions (direct):
Tm 0.2500 0.2500 0.2500
Tm 0.7500 0.7500 0.7500
H 0.2315 0.2315 0.7685
H 0.2315 0.7685 0.2315
H 0.2315 0.7685 0.7685
H 0.7685 0.2315 0.2315
H 0.7685 0.2315 0.7685
H 0.7685 0.7685 0.2315
Pd 0.5000 0.5000 0.5000

---

This entry pairs a crystal structure of TmLuNO with its computed powder XRD pattern. Radiation: CuKα. Structure: a DFT-relaxed cell (GGA-PBE, OQMD).
Lines closer than 0.1° are merged.

The 8 most intense peaks (2θ from 5° to 70°), low angle first:
32.97 deg, rel. 100
38.18 deg, rel. 48
38.39 deg, rel. 24
55.10 deg, rel. 16
55.26 deg, rel. 32
65.73 deg, rel. 29
66.01 deg, rel. 14
69.15 deg, rel. 16

a = 3.3334 Å, b = 3.3334 Å, c = 4.6895 Å
α = 90.00°, β = 90.00°, γ = 90.00°
Positions (direct):
Tm 0.0000 0.0000 0.0000
Lu 0.5000 0.5000 0.5000
N 0.5000 0.5000 0.0000
O 0.0000 0.0000 0.5000

---

This entry pairs a crystal structure of TaBeNbTe with its computed powder XRD pattern. Radiation: CuKα. Structure: a DFT-relaxed cell (GGA-PBE, OQMD).
Lines closer than 0.1° are merged.

The 8 most intense peaks (2θ from 5° to 70°), low angle first:
23.76 deg, rel. 31
27.51 deg, rel. 16
39.29 deg, rel. 100
46.44 deg, rel. 16
48.63 deg, rel. 5
56.78 deg, rel. 17
62.42 deg, rel. 7
64.23 deg, rel. 6

a = 4.5858 Å, b = 4.5858 Å, c = 4.5858 Å
α = 60.00°, β = 60.00°, γ = 60.00°
Positions (direct):
Ta 0.0000 0.0000 0.0000
Be 0.2500 0.2500 0.2500
Nb 0.5000 0.5000 0.5000
Te 0.7500 0.7500 0.7500

---

This entry pairs a crystal structure of TbGd2Al3CuGe2 with its computed powder XRD pattern. Radiation: CuKα. Structure: a DFT-relaxed cell (GGA-PBE, OQMD).
Lines closer than 0.1° are merged.

The 12 most intense peaks (2θ from 5° to 70°), low angle first:
21.18 deg, rel. 22
25.27 deg, rel. 37
29.26 deg, rel. 18
33.21 deg, rel. 100
36.41 deg, rel. 71
39.04 deg, rel. 24
43.14 deg, rel. 23
44.53 deg, rel. 23
44.84 deg, rel. 18
54.18 deg, rel. 18
58.82 deg, rel. 25
63.73 deg, rel. 15

a = 4.1943 Å, b = 7.0476 Å, c = 7.0476 Å
α = 119.99°, β = 90.00°, γ = 90.00°
Positions (direct):
Tb 0.0000 0.0000 0.0000
Gd 0.0000 0.1940 0.5971
Gd 0.0000 0.5971 0.1940
Al 0.5000 0.3648 0.3648
Al 0.5000 0.5972 0.8292
Al 0.5000 0.8292 0.5972
Cu 0.0000 0.5972 0.5972
Ge 0.5000 0.2635 0.9304
Ge 0.5000 0.9304 0.2635

---

This entry pairs a crystal structure of SmYGa2Ag2 with its computed powder XRD pattern. Radiation: CuKα. Structure: a DFT-relaxed cell (GGA-PBE, OQMD).
Lines closer than 0.1° are merged.

The 12 most intense peaks (2θ from 5° to 70°), low angle first:
22.25 deg, rel. 6
24.93 deg, rel. 3
25.55 deg, rel. 6
33.66 deg, rel. 100
39.05 deg, rel. 68
44.29 deg, rel. 3
46.89 deg, rel. 3
51.16 deg, rel. 9
52.49 deg, rel. 28
66.19 deg, rel. 23
67.32 deg, rel. 25
69.94 deg, rel. 2

a = 4.6133 Å, b = 4.6133 Å, c = 7.1420 Å
α = 90.00°, β = 90.00°, γ = 120.00°
Positions (direct):
Sm 0.0000 0.0000 0.0000
Y 0.0000 0.0000 0.5000
Ga 0.6667 0.3333 0.2828
Ga 0.6667 0.3333 0.7172
Ag 0.3333 0.6667 0.2419
Ag 0.3333 0.6667 0.7581

---

This entry pairs a crystal structure of TbAgPbS3 with its computed powder XRD pattern. Radiation: CuKα. Structure: a DFT-relaxed cell (GGA-PBE, OQMD).
Lines closer than 0.1° are merged.

The 12 most intense peaks (2θ from 5° to 70°), low angle first:
21.64 deg, rel. 59
24.51 deg, rel. 40
27.03 deg, rel. 48
28.66 deg, rel. 56
31.02 deg, rel. 24
31.22 deg, rel. 100
34.18 deg, rel. 37
34.61 deg, rel. 88
39.75 deg, rel. 33
44.47 deg, rel. 28
44.74 deg, rel. 56
59.23 deg, rel. 22

a = 10.4932 Å, b = 4.0486 Å, c = 13.1932 Å
α = 90.00°, β = 90.00°, γ = 90.00°
Positions (direct):
Tb 0.0196 0.2500 0.2392
Tb 0.4804 0.7500 0.7392
Tb 0.5196 0.2500 0.2608
Tb 0.9804 0.7500 0.7608
Ag 0.2339 0.2500 0.7188
Ag 0.2661 0.7500 0.2188
Ag 0.7339 0.2500 0.7812
Ag 0.7661 0.7500 0.2812
Pb 0.2155 0.7500 0.4983
Pb 0.2845 0.2500 0.9983
Pb 0.7155 0.7500 0.0017
Pb 0.7845 0.2500 0.5017
S 0.0327 0.2500 0.6156
S 0.0768 0.7500 0.1065
S 0.2349 0.7500 0.8392
S 0.2651 0.2500 0.3392
S 0.4232 0.2500 0.6065
S 0.4673 0.7500 0.1156
S 0.5327 0.2500 0.8844
S 0.5768 0.7500 0.3935
S 0.7349 0.7500 0.6608
S 0.7651 0.2500 0.1608
S 0.9232 0.2500 0.8935
S 0.9673 0.7500 0.3844